Entry 1:
This entry pairs a crystal structure of MgMo2WSe4S2 with its simulated powder X-ray diffraction pattern. Radiation: λ = 1.5418 Å (Cu Kα). Structure: a structure optimized by DFT (PBE).

Crystal structure
Lattice parameters (Å, degrees): 3.2694 3.2694 30.1375 90.00 90.00 120.00
Space group P3m1 (No. 156)
One atom of each set of equivalent atoms:
1 Mg 0.0000 0.0000 0.0000
2 Mo 0.6667 0.3333 0.2590
3 Mo 0.6667 0.3333 0.7219
4 W 0.0000 0.0000 0.4904
5 Se 0.0000 0.0000 0.2029
6 Se 0.0000 0.0000 0.3153
7 Se 0.0000 0.0000 0.6656
8 Se 0.0000 0.0000 0.7781
9 S 0.6667 0.3333 0.4393
10 S 0.6667 0.3333 0.5416

Most intense lines, 2θ from 10° to 90°, low angle first:
d/Å  2theta  I/Imax
7.534  11.7  100
6.028  14.7  15
2.831  31.6  30
2.467  36.4  39
2.366  38.0  37
2.064  43.9  19
1.969  46.1  30
1.634  56.3  21

Entry 2:
This entry pairs a crystal structure of NaCd3 with its simulated powder X-ray diffraction pattern. Radiation: λ = 1.5418 Å (Cu Kα). Structure: a structure optimized by DFT (PBE).

Crystal structure
Lattice parameters (Å, degrees): 7.2331 7.2331 7.2331 90.00 90.00 90.00
Space group Fm-3m (No. 225)
One atom of each set of equivalent atoms:
1 Na 0.0000 0.0000 0.0000
2 Cd 0.0000 0.0000 0.5000
3 Cd 0.2500 0.2500 0.2500

Most intense lines, 2θ from 10° to 90°, low angle first:
d/Å  2theta  I/Imax
4.176  21.3  14
3.617  24.6  8
2.557  35.1  100
2.181  41.4  8
1.808  50.5  17
1.476  63.0  34
1.279  74.2  10
1.144  84.8  15

Entry 3:
This entry pairs a crystal structure of ErGa6Co6 with its simulated powder X-ray diffraction pattern. Radiation: λ = 1.5418 Å (Cu Kα). Structure: a structure optimized by DFT (PBE).

Crystal structure
Lattice parameters (Å, degrees): 5.0451 8.1841 8.6328 90.00 90.00 90.00
Space group Immm (No. 71)
One atom of each set of equivalent atoms:
1 Er 0.0000 0.0000 0.0000
2 Ga 0.0000 0.0000 0.3448
3 Ga 0.0000 0.3401 0.0000
4 Ga 0.0000 0.5000 0.3114
5 Co 0.0000 0.2625 0.5000
6 Co 0.2500 0.2500 0.2500

Most intense lines, 2θ from 10° to 90°, low angle first:
d/Å  2theta  I/Imax
2.523  35.6  37
2.500  35.9  68
2.178  41.5  58
2.147  42.1  55
2.133  42.4  100
2.097  43.1  57
2.046  44.3  46
1.923  47.3  51

Entry 4:
This entry pairs a crystal structure of KH2SeNO3 with its simulated powder X-ray diffraction pattern. Radiation: λ = 1.5418 Å (Cu Kα). Structure: a structure optimized by DFT (PBE).

Crystal structure
Lattice parameters (Å, degrees): 8.1843 7.4414 7.6370 90.00 96.40 90.00
Space group P2_1/c (No. 14)
One atom of each set of equivalent atoms:
1 K 0.1469 0.1247 0.3848
2 H 0.3984 0.6728 0.7738
3 H 0.4730 0.1763 0.1154
4 Se 0.2500 0.6059 0.4049
5 N 0.4246 0.7423 0.8913
6 O 0.0890 0.7412 0.4032
7 O 0.2259 0.0412 0.7406
8 O 0.2955 0.0022 0.0960

Most intense lines, 2θ from 10° to 90°, low angle first:
d/Å  2theta  I/Imax
5.490  16.1  51
5.313  16.7  64
4.616  19.2  45
4.067  21.9  94
3.596  24.8  66
3.301  27.0  58
3.145  28.4  100
3.038  29.4  42

Entry 5:
This entry pairs a crystal structure of BaSrPrHfO6 with its simulated powder X-ray diffraction pattern. Radiation: λ = 1.5418 Å (Cu Kα). Structure: a structure optimized by DFT (PBE).

Crystal structure
Lattice parameters (Å, degrees): 6.1037 6.1932 8.6585 89.64 89.62 89.94
Space group P-1 (No. 2)
One atom of each set of equivalent atoms:
1 Ba 0.0079 0.0345 0.2495
2 Sr 0.4882 0.5410 0.2479
3 Pr 0.0000 0.5000 0.0000
4 Pr 0.5000 0.0000 0.5000
5 Hf 0.0000 0.5000 0.5000
6 Hf 0.5000 0.0000 0.0000
7 O 0.0984 0.5177 0.7322
8 O 0.1945 0.7709 0.4543
9 O 0.2277 0.8026 0.0390
10 O 0.2743 0.3070 0.4483
11 O 0.3127 0.2766 0.0524
12 O 0.4220 0.0456 0.7673

Most intense lines, 2θ from 10° to 90°, low angle first:
d/Å  2theta  I/Imax
3.097  28.8  48
3.082  29.0  49
3.067  29.1  100
3.053  29.3  95
2.174  41.5  49
1.779  51.4  29
1.770  51.6  34
1.761  51.9  34

Entry 6:
This entry pairs a crystal structure of Rb2NaCoC6N6 with its simulated powder X-ray diffraction pattern. Radiation: λ = 1.5418 Å (Cu Kα). Structure: a structure optimized by DFT (PBE).

Crystal structure
Lattice parameters (Å, degrees): 7.3424 7.7298 12.8634 90.00 124.34 90.00
Space group P2_1/c (No. 14)
One atom of each set of equivalent atoms:
1 Rb 0.2290 0.0657 0.2493
2 Na 0.0000 0.0000 0.5000
3 Co 0.5000 0.0000 0.0000
4 C 0.2610 0.1342 0.9688
5 C 0.3299 0.7012 0.4616
6 C 0.3991 0.0195 0.8303
7 N 0.1101 0.2180 0.9477
8 N 0.2214 0.6738 0.9370
9 N 0.3345 0.0340 0.7237

Most intense lines, 2θ from 10° to 90°, low angle first:
d/Å  2theta  I/Imax
4.759  18.6  33
3.865  23.0  40
3.771  23.6  100
3.749  23.7  98
3.671  24.2  45
2.659  33.7  92
2.370  38.0  45
2.143  42.2  40

Entry 7:
This entry pairs a crystal structure of UCrSe3 with its simulated powder X-ray diffraction pattern. Radiation: λ = 1.5418 Å (Cu Kα). Structure: a structure optimized by DFT (PBE).

Crystal structure
Lattice parameters (Å, degrees): 7.4146 9.2683 6.4055 90.00 90.00 90.00
Space group Pnma (No. 62)
One atom of each set of equivalent atoms:
1 U 0.1243 0.2500 0.0590
2 Cr 0.0000 0.0000 0.5000
3 Se 0.0427 0.7500 0.3486
4 Se 0.1778 0.5561 0.8412

Most intense lines, 2θ from 10° to 90°, low angle first:
d/Å  2theta  I/Imax
4.295  20.7  100
3.350  26.6  53
2.803  31.9  81
2.637  34.0  79
2.605  34.4  84
2.373  37.9  54
2.306  39.1  57
1.877  48.5  54

Entry 8:
This entry pairs a crystal structure of DyH3 with its simulated powder X-ray diffraction pattern. Radiation: λ = 1.5418 Å (Cu Kα). Structure: a structure optimized by DFT (PBE).

Crystal structure
Lattice parameters (Å, degrees): 6.3251 6.3251 6.5959 90.00 90.00 120.00
Space group P-3c1 (No. 165)
One atom of each set of equivalent atoms:
1 Dy 0.0000 0.3366 0.2500
2 H 0.0000 0.0000 0.2500
3 H 0.0277 0.3488 0.9076
4 H 0.3333 0.6667 0.1807

Most intense lines, 2θ from 10° to 90°, low angle first:
d/Å  2theta  I/Imax
3.298  27.0  33
3.163  28.2  22
2.852  31.4  100
2.283  39.5  18
1.826  49.9  19
1.805  50.6  28
1.597  57.7  24
1.538  60.2  16

Entry 9:
This entry pairs a crystal structure of MgSnO3 with its simulated powder X-ray diffraction pattern. Radiation: λ = 1.5418 Å (Cu Kα). Structure: a structure optimized by DFT (PBE).

Crystal structure
Lattice parameters (Å, degrees): 5.3394 5.3394 14.2538 90.00 90.00 120.00
Space group R-3 (No. 148, hexagonal axes)
One atom of each set of equivalent atoms:
1 Mg 0.0000 0.0000 0.1432
2 Sn 0.0000 0.0000 0.3530
3 O 0.0051 0.7027 0.2509

Most intense lines, 2θ from 10° to 90°, low angle first:
d/Å  2theta  I/Imax
4.751  18.7  67
4.398  20.2  69
2.823  31.7  100
2.670  33.6  91
2.327  38.7  79
1.940  46.8  44
1.775  51.5  57
1.569  58.9  42